The following is a simulated powder XRD pattern of La4Nd3Y4. It was derived from a crystal structure in Alexandria, relaxed with PBE, using Cu Kα X-rays.

Top 10 peaks for 5 to 70 degrees two-theta, most intense first:
| two_theta | d_spacing | I/Imax |
| --- | --- | --- |
| 31.5 | 2.840 | 100 |
| 30.5 | 2.928 | 57 |
| 29.9 | 2.984 | 38 |
| 61.3 | 1.513 | 27 |
| 54.9 | 1.673 | 20 |
| 33.0 | 2.713 | 15 |
| 43.7 | 2.070 | 13 |
| 45.6 | 1.990 | 12 |
| 51.7 | 1.767 | 12 |
| 55.1 | 1.666 | 8 |

Cell: 10.8538 6.7493 6.7493 Å, 51.41 90.00 90.00°
Fractional positions:
La: 0.0000 0.0000 0.0000
La: 0.2072 0.8088 0.8088
La: 0.5000 0.9195 0.9195
La: 0.7928 0.8088 0.8088
Nd: 0.0000 0.2942 0.2942
Nd: 0.2944 0.4490 0.4490
Nd: 0.7056 0.4490 0.4490
Y: 0.0000 0.5964 0.5964
Y: 0.3024 0.1458 0.1458
Y: 0.5000 0.6480 0.6480
Y: 0.6976 0.1458 0.1458